# ThNb2C2
Computed powder diffraction line list, Cu Kα (weighted mean of Kα1 and Kα2). Input: a GGA-PBE-relaxed structure.
Intensities are scaled so that the largest is 1000.

Main lines, low angle first (5 to 70 degrees two-theta):
| 2θ (°) | Rel. int. | hkl |
| --- | --- | --- |
| 17.95 | 194 | 1 1 1 |
| 27.02 | 227 | 0 2 2 |
| 30.60 | 269 | 2 0 2 |
| 30.80 | 1000 | 2 2 0 |
| 32.44 | 845 | 1 1 3 |
| 38.90 | 307 | 0 4 0 |
| 42.85 | 434 | 1 3 3 |
| 47.72 | 290 | 3 1 3 |
| 48.89 | 166 | 4 0 0 |
| 55.82 | 198 | 3 3 3 |
| 59.25 | 144 | 1 5 3 |
| 64.16 | 140 | 4 4 0 |

Atomic structure:
abc: 7.452 9.261 9.412
angles: 90.00 90.00 90.00
Space group Fddd (No. 70, origin choice 2)
Inequivalent atoms, fractional coordinates:
1 Th 0.125 0.125 0.125
2 Nb 0.125 0.125 0.483
3 C 0.125 0.333 0.625